Diffraction record for KTeI3. The powder diffraction line list is simulated, not measured: it uses a GGA-PBE-relaxed structure and Cu Ka.
Peak positions follow from Bragg's law for the DFT cell and can differ from measured ones.

Cell and atoms:
a b c (Å): 6.194 6.194 6.194
angles (deg): 90.00 90.00 90.00
Sites, in units of the cell vectors:
K1 0.000 0.000 0.000
Te1 0.500 0.500 0.500
I1 0.000 0.500 0.500
I2 0.500 0.000 0.500
I3 0.500 0.500 0.000

Peak list (6 most intense, 10° ≤ 2θ ≤ 90°, sorted by position)
- hkl 1 0 0, 2θ 14.3, rel. 77.6
- hkl 1 1 1, 2θ 24.9, rel. 57.4
- hkl 2 0 0, 2θ 28.8, rel. 100.0
- hkl 2 1 0, 2θ 32.3, rel. 43.7
- hkl 2 2 0, 2θ 41.2, rel. 74.5
- hkl 4 2 0, 2θ 67.6, rel. 33.5